Starting from DFT lattice parameters and positions (PBE), the powder diffractogram of La16Pm6Tm7 was simulated for Cu Ka.
Intensities are scaled so that the largest is 100.

Cell and atoms:
```
data_La16Pm6Tm7
_chemical_formula_sum 'La16 Pm6 Tm7'
_cell_length_a 11.3566
_cell_length_b 11.3566
_cell_length_c 11.3566
_cell_angle_alpha 60.00
_cell_angle_beta 60.00
_cell_angle_gamma 60.00
_symmetry_space_group_name_H-M 'P 1'
_symmetry_Int_Tables_number 1
loop_
_symmetry_equiv_pos_as_xyz
'x,y,z'
loop_
_atom_site_label
_atom_site_type_symbol
_atom_site_fract_x
_atom_site_fract_y
_atom_site_fract_z
La1 La 0.0373 0.6542 0.6542
La2 La 0.1203 0.1203 0.1203
La3 La 0.1203 0.1203 0.6391
La4 La 0.1203 0.6391 0.1203
La5 La 0.3458 0.3458 0.3458
La6 La 0.3458 0.3458 0.9627
La7 La 0.3458 0.9627 0.3458
La8 La 0.3609 0.8797 0.8797
La9 La 0.6391 0.1203 0.1203
La10 La 0.6542 0.0373 0.6542
La11 La 0.6542 0.6542 0.0373
La12 La 0.6542 0.6542 0.6542
La13 La 0.8797 0.3609 0.8797
La14 La 0.8797 0.8797 0.3609
La15 La 0.8797 0.8797 0.8797
La16 La 0.9627 0.3458 0.3458
Pm1 Pm 0.2995 0.2995 0.7005
Pm2 Pm 0.2995 0.7005 0.2995
Pm3 Pm 0.2995 0.7005 0.7005
Pm4 Pm 0.7005 0.2995 0.2995
Pm5 Pm 0.7005 0.2995 0.7005
Pm6 Pm 0.7005 0.7005 0.2995
Tm1 Tm 0.0000 0.0000 0.0000
Tm2 Tm 0.0000 0.0000 0.5000
Tm3 Tm 0.0000 0.5000 0.0000
Tm4 Tm 0.0000 0.5000 0.5000
Tm5 Tm 0.5000 0.0000 0.0000
Tm6 Tm 0.5000 0.0000 0.5000
Tm7 Tm 0.5000 0.5000 0.0000
```

The 12 most intense peaks (15 to 90 degrees two-theta), low angle first:
2θ/deg  I (rel.)
27.2  11
28.9  34
31.5  100
33.5  8
37.1  10
43.3  13
45.2  12
56.1  18
57.1  10
59.5  10
69.2  10
79.9  10